No. 1
Sm5Co19: computed PXRD pattern (Cu Kα (λ = 1.5418 Å)), based on DFT lattice parameters and positions (GGA-PBE).
Kinematic intensities with the Lorentz-polarization factor, no thermal factor.

The 10 most intense peaks (2θ = 5–70°), low angle first:
| 2θ (°) | I_rel |
| --- | --- |
| 31.8 | 37 |
| 33.3 | 25 |
| 36.1 | 43 |
| 42.0 | 31 |
| 42.7 | 100 |
| 45.0 | 17 |
| 62.3 | 11 |
| 64.8 | 9 |
| 66.4 | 10 |
| 69.5 | 23 |

Structure:
Cell: 16.365 16.365 16.365 Å, 17.48 17.48 17.48°
Sites, in units of the cell vectors:
Sm (0.000, 0.000, 0.000)
Sm (0.079, 0.079, 0.079)
Sm (0.153, 0.153, 0.153)
Sm (0.847, 0.847, 0.847)
Sm (0.921, 0.921, 0.921)
Co (0.042, 0.540, 0.540)
Co (0.124, 0.621, 0.621)
Co (0.251, 0.251, 0.251)
Co (0.333, 0.333, 0.333)
Co (0.379, 0.379, 0.876)
Co (0.379, 0.876, 0.379)
Co (0.416, 0.416, 0.416)
Co (0.460, 0.460, 0.958)
Co (0.460, 0.958, 0.460)
Co (0.500, 0.500, 0.500)
Co (0.540, 0.042, 0.540)
Co (0.540, 0.540, 0.042)
Co (0.584, 0.584, 0.584)
Co (0.621, 0.124, 0.621)
Co (0.621, 0.621, 0.124)
Co (0.667, 0.667, 0.667)
Co (0.749, 0.749, 0.749)
Co (0.876, 0.379, 0.379)
Co (0.958, 0.460, 0.460)

No. 2
Sm5Co19: computed PXRD pattern (Cu Kα (λ = 1.5418 Å)), based on DFT lattice parameters and positions (GGA-PBE).
Kinematic intensities with the Lorentz-polarization factor, no thermal factor.

The 10 most intense peaks (2θ = 5–70°), low angle first:
| 2θ (°) | I_rel |
| --- | --- |
| 30.5 | 11 |
| 32.7 | 48 |
| 36.0 | 42 |
| 41.8 | 11 |
| 41.9 | 26 |
| 42.7 | 100 |
| 45.5 | 16 |
| 62.6 | 15 |
| 65.9 | 15 |
| 69.4 | 21 |

Structure:
Cell: 4.990 4.990 31.911 Å, 90.00 90.00 120.00°
Sites, in units of the cell vectors:
Sm (0.333, 0.667, 0.021)
Sm (0.333, 0.667, 0.131)
Sm (0.333, 0.667, 0.250)
Sm (0.333, 0.667, 0.369)
Sm (0.333, 0.667, 0.479)
Sm (0.667, 0.333, 0.521)
Sm (0.667, 0.333, 0.631)
Sm (0.667, 0.333, 0.750)
Sm (0.667, 0.333, 0.869)
Sm (0.667, 0.333, 0.979)
Co (0.000, 0.000, 0.000)
Co (0.000, 0.000, 0.126)
Co (0.000, 0.000, 0.250)
Co (0.000, 0.000, 0.374)
Co (0.000, 0.000, 0.500)
Co (0.000, 0.000, 0.626)
Co (0.000, 0.000, 0.750)
Co (0.000, 0.000, 0.874)
Co (0.166, 0.331, 0.566)
Co (0.166, 0.331, 0.934)
Co (0.166, 0.333, 0.688)
Co (0.166, 0.333, 0.812)
Co (0.166, 0.834, 0.566)
Co (0.166, 0.834, 0.688)
Co (0.166, 0.834, 0.812)
Co (0.166, 0.834, 0.934)
Co (0.331, 0.166, 0.066)
Co (0.331, 0.166, 0.434)
Co (0.333, 0.166, 0.188)
Co (0.333, 0.166, 0.312)
Co (0.333, 0.667, 0.626)
Co (0.333, 0.667, 0.750)
Co (0.333, 0.667, 0.874)
Co (0.667, 0.333, 0.126)
Co (0.667, 0.333, 0.250)
Co (0.667, 0.333, 0.374)
Co (0.667, 0.834, 0.688)
Co (0.667, 0.834, 0.812)
Co (0.669, 0.834, 0.566)
Co (0.669, 0.834, 0.934)
Co (0.834, 0.166, 0.066)
Co (0.834, 0.166, 0.188)
Co (0.834, 0.166, 0.312)
Co (0.834, 0.166, 0.434)
Co (0.834, 0.667, 0.188)
Co (0.834, 0.667, 0.312)
Co (0.834, 0.669, 0.066)
Co (0.834, 0.669, 0.434)

No. 3
Sm12Co6Sn: computed PXRD pattern (Cu Kα (λ = 1.5418 Å)), based on DFT lattice parameters and positions (GGA-PBE).
Kinematic intensities with the Lorentz-polarization factor, no thermal factor.

The 10 most intense peaks (2θ = 5–70°), low angle first:
| 2θ (°) | I_rel |
| --- | --- |
| 28.3 | 46 |
| 31.0 | 52 |
| 33.6 | 100 |
| 36.0 | 19 |
| 46.4 | 25 |
| 53.6 | 38 |
| 55.2 | 13 |
| 56.9 | 38 |
| 66.2 | 20 |
| 69.2 | 10 |

Structure:
Cell: 8.641 8.641 8.641 Å, 109.47 109.47 109.47°
Sites, in units of the cell vectors:
Sm (0.112, 0.807, 0.305)
Sm (0.193, 0.305, 0.498)
Sm (0.193, 0.695, 0.888)
Sm (0.305, 0.112, 0.807)
Sm (0.305, 0.498, 0.193)
Sm (0.498, 0.193, 0.305)
Sm (0.502, 0.807, 0.695)
Sm (0.695, 0.502, 0.807)
Sm (0.695, 0.888, 0.193)
Sm (0.807, 0.305, 0.112)
Sm (0.807, 0.695, 0.502)
Sm (0.888, 0.193, 0.695)
Co (0.112, 0.612, 0.500)
Co (0.388, 0.500, 0.888)
Co (0.500, 0.112, 0.612)
Co (0.500, 0.888, 0.388)
Co (0.612, 0.500, 0.112)
Co (0.888, 0.388, 0.500)
Sn (0.000, 0.000, 0.000)

No. 4
Sm2TiCo16: computed PXRD pattern (Cu Kα (λ = 1.5418 Å)), based on DFT lattice parameters and positions (GGA-PBE).
Kinematic intensities with the Lorentz-polarization factor, no thermal factor.

The 10 most intense peaks (2θ = 5–70°), low angle first:
| 2θ (°) | I_rel |
| --- | --- |
| 30.6 | 36 |
| 37.1 | 39 |
| 38.6 | 32 |
| 43.1 | 62 |
| 43.5 | 100 |
| 44.4 | 18 |
| 44.6 | 31 |
| 48.9 | 23 |
| 62.9 | 16 |
| 63.8 | 15 |

Structure:
Cell: 6.323 6.323 6.323 Å, 83.12 83.12 83.12°
Sites, in units of the cell vectors:
Sm (0.000, 0.000, 0.000)
Sm (0.305, 0.305, 0.305)
Ti (0.741, 0.741, 0.741)
Co (0.154, 0.648, 0.648)
Co (0.305, 0.305, 0.798)
Co (0.305, 0.798, 0.305)
Co (0.358, 0.647, 0.939)
Co (0.358, 0.939, 0.647)
Co (0.498, 0.996, 0.996)
Co (0.550, 0.550, 0.550)
Co (0.647, 0.358, 0.939)
Co (0.647, 0.939, 0.358)
Co (0.648, 0.154, 0.648)
Co (0.648, 0.648, 0.154)
Co (0.798, 0.305, 0.305)
Co (0.939, 0.358, 0.647)
Co (0.939, 0.647, 0.358)
Co (0.996, 0.498, 0.996)
Co (0.996, 0.996, 0.498)

> Which formula does entry 4 have?

Sm2TiCo16